Theoretical PXRD pattern of CsGa2TeS6 for Cu Kα X-rays, from a GGA-PBE-relaxed structure.

Crystal structure
```
data_CsGa2TeS6
_cell_length_a 11.861
_cell_length_b 14.339
_cell_length_c 7.121
_cell_angle_alpha 90.00
_cell_angle_beta 92.90
_cell_angle_gamma 90.00
_symmetry_space_group_name_H-M 'C 1 2/c 1'
_symmetry_Int_Tables_number 15
loop_
_symmetry_equiv_pos_as_xyz
'x,y,z'
'-x,-y,-z'
'-x,y,-z+1/2'
'x,-y,z+1/2'
'x+1/2,y+1/2,z'
'-x+1/2,-y+1/2,-z'
'-x+1/2,y+1/2,-z+1/2'
'x+1/2,-y+1/2,z+1/2'
loop_
_atom_site_label
_atom_site_type_symbol
_atom_site_fract_x
_atom_site_fract_y
_atom_site_fract_z
_atom_site_occupancy
Cs1 Cs 0.000 0.065 0.250 1
Ga1 Ga 0.185 0.431 0.313 1
Te1 Te 0.000 0.253 0.750 1
S1 S 0.075 0.309 0.186 1
S2 S 0.137 0.151 0.623 1
S3 S 0.179 0.435 0.641 1
```

Largest 12 diffraction maxima, most intense first, 10° ≤ 2θ ≤ 90°:
hkl 1 3 -1, 3.799 Å, intensity 100.0; hkl 0 0 2, 3.556 Å, intensity 38.6; hkl 2 4 1, 2.790 Å, intensity 27.9; hkl 1 3 -3, 2.107 Å, intensity 25.0; hkl 2 2 0, 4.566 Å, intensity 20.8; hkl 2 0 0, 5.923 Å, intensity 14.6; hkl 3 3 1, 2.757 Å, intensity 14.5; hkl 5 3 1, 2.009 Å, intensity 14.5; hkl 5 3 -1, 2.059 Å, intensity 12.1; hkl 2 4 3, 1.852 Å, intensity 11.4; hkl 2 0 2, 2.983 Å, intensity 11.3; hkl 3 1 -2, 2.664 Å, intensity 10.9